[1]
Computed XRD peak list of CoBi2Pb2 for Cu Ka, from a structure optimized by DFT (GGA-PBE).

Top 8 peaks for 5° ≤ 2θ ≤ 70°, in order of falling intensity:
2theta	Rel. int.
32.61	1000
30.21	329
55.20	239
56.95	228
25.71	168
51.92	155
41.19	151
40.07	109

Crystal structure
```
10
Lattice="6.9310 0.0000 0.0000 0.0000 6.9310 0.0000 0.0000 0.0000 5.9174" Properties=species:S:1:pos:R:3 pbc="T T T"
Co 0.0000 0.0000 0.0000
Co 3.4655 3.4655 0.0000
Bi 1.0996 2.3659 0.0000
Bi 2.3659 5.8314 0.0000
Bi 4.5651 1.0996 0.0000
Bi 5.8314 4.5651 0.0000
Pb 1.2476 4.7131 2.9587
Pb 2.2179 1.2476 2.9587
Pb 4.7131 5.6834 2.9587
Pb 5.6834 2.2179 2.9587
```



[2]
Computed XRD peak list of Pm4CoBi2 for Cu Ka, from a structure optimized by DFT (GGA-PBE).

Top 8 peaks for 5° ≤ 2θ ≤ 70°, in order of falling intensity:
2theta	Rel. int.
33.00	1000
27.90	862
30.93	660
36.93	462
29.91	397
38.85	286
31.06	235
26.34	230

Crystal structure
```
14
Lattice="6.8072 0.0000 0.0000 0.0000 6.7671 0.0000 -3.3482 0.0000 9.1023" Properties=species:S:1:pos:R:3 pbc="T T T"
Pm 0.9567 1.6918 0.9991
Pm -0.9615 3.3996 6.9192
Pm -0.9615 6.7511 6.9192
Pm 0.6338 5.0753 3.7670
Pm 2.8252 1.6918 5.3353
Pm 4.4204 0.0160 2.1831
Pm 4.4204 3.3675 2.1831
Pm 2.5023 5.0753 8.1032
Co -0.5000 5.0753 1.5323
Co 3.9590 1.6918 7.5701
Bi -0.2745 1.6918 4.1083
Bi 2.0335 5.0753 0.6375
Bi 1.4255 1.6918 8.4648
Bi 3.7335 5.0753 4.9940
```



[3]
Computed XRD peak list of CoBiSb3 for Cu Ka, from a structure optimized by DFT (GGA-PBE).

Top 8 peaks for 5° ≤ 2θ ≤ 70°, in order of falling intensity:
2theta	Rel. int.
32.54	1000
31.64	424
46.07	211
45.96	209
36.72	156
25.71	140
47.96	136
26.79	121

Crystal structure
```
10
Lattice="6.9289 0.0000 0.0000 0.0000 4.8945 0.0000 -0.0238 0.0000 7.5874" Properties=species:S:1:pos:R:3 pbc="T T T"
Co 0.0089 0.0000 1.8967
Co 6.8962 2.4472 5.6907
Bi 2.2316 3.8837 5.6986
Bi 4.6736 1.4365 1.8888
Sb 1.1382 1.2452 3.7920
Sb 1.1508 1.2458 0.0100
Sb 2.0810 3.4512 1.9057
Sb 4.8242 1.0040 5.6817
Sb 5.7670 3.6924 3.7954
Sb 5.7543 3.6930 7.5774
```



[4]
Computed XRD peak list of Sm3Co3Bi for Cu Ka, from a structure optimized by DFT (GGA-PBE).

Top 8 peaks for 5° ≤ 2θ ≤ 70°, in order of falling intensity:
2theta	Rel. int.
35.95	1000
30.38	939
28.31	900
32.82	588
28.85	572
53.37	549
42.74	403
54.91	281

Crystal structure
```
14
Lattice="9.4538 0.0000 0.0000 -4.7269 8.1872 0.0000 0.0000 0.0000 4.2316" Properties=species:S:1:pos:R:3 pbc="T T T"
Sm -2.5740 5.6573 1.0579
Sm 1.1146 3.1294 1.0579
Sm 3.2674 0.5995 3.1737
Sm 1.4595 7.5877 1.0579
Sm 3.6123 5.0578 3.1737
Sm 7.3009 2.5299 3.1737
Co -3.9365 7.0897 3.1737
Co 0.5552 1.2333 3.1737
Co 1.3457 0.1358 1.0579
Co 3.3812 8.0514 3.1737
Co 4.1716 6.9539 1.0579
Co 8.6633 1.0975 1.0579
Bi 0.0000 5.4581 3.1737
Bi 4.7269 2.7291 1.0579
```



[5]
Computed XRD peak list of CoBiTe for Cu Ka, from a structure optimized by DFT (GGA-PBE).

Top 8 peaks for 5° ≤ 2θ ≤ 70°, in order of falling intensity:
2theta	Rel. int.
31.50	1000
32.42	678
42.98	406
48.55	292
57.88	265
26.74	220
33.01	209
46.55	197

Crystal structure
```
12
Lattice="0.0000 6.4150 3.9016 5.4267 0.0000 3.9016 5.4267 6.4150 0.0000" Properties=species:S:1:pos:R:3 pbc="T T T"
Co 5.5149 3.3383 3.9016
Co 8.0520 6.5458 5.8524
Co 5.3386 9.4917 3.9016
Co 8.2282 12.6993 5.8524
Bi 9.6706 7.3861 3.9091
Bi 3.8963 4.1786 1.9583
Bi 1.5304 2.2364 1.9583
Bi 1.1829 5.4440 3.9091
Te 6.7127 5.5486 3.8933
Te 4.1408 7.2814 3.8933
Te 9.4261 10.4889 5.8441
Te 6.8541 8.7561 5.8441
```



[6]
Computed XRD peak list of Th5Co2Bi for Cu Ka, from a structure optimized by DFT (GGA-PBE).

Top 8 peaks for 5° ≤ 2θ ≤ 70°, in order of falling intensity:
2theta	Rel. int.
31.99	1000
36.95	807
29.73	690
26.64	497
34.09	427
64.32	323
54.04	313
56.84	297

Crystal structure
```
16
Lattice="-3.8462 3.8462 7.2105 3.8462 -3.8462 7.2105 3.8462 3.8462 -7.2105" Properties=species:S:1:pos:R:3 pbc="T T T"
Th 0.0000 0.0000 0.0000
Th 5.0012 1.1549 -1.9168
Th 1.1549 2.6913 -1.9168
Th 5.0012 1.1549 1.9168
Th 1.1549 2.6913 1.9168
Th 0.0000 0.0000 7.2105
Th 2.6913 1.1549 5.2937
Th -1.1549 2.6913 5.2937
Th 2.6913 1.1549 9.1273
Th -1.1549 2.6913 9.1273
Co 2.6293 1.2169 0.0000
Co 2.6293 -1.2169 7.2105
Co 1.2169 5.0631 0.0000
Co 1.2169 2.6293 7.2105
Bi 0.0000 0.0000 3.6053
Bi 0.0000 0.0000 10.8158
```



[7]
Computed XRD peak list of Th3CoBi for Cu Ka, from a structure optimized by DFT (GGA-PBE).

Top 8 peaks for 5° ≤ 2θ ≤ 70°, in order of falling intensity:
2theta	Rel. int.
28.75	1000
33.36	889
30.08	888
49.57	738
35.56	396
56.04	291
58.37	255
46.10	179

Crystal structure
```
10
Lattice="3.6735 -7.8756 0.0000 3.6735 7.8756 0.0000 0.0000 0.0000 5.0491" Properties=species:S:1:pos:R:3 pbc="T T T"
Th 1.8368 3.9378 2.5245
Th 3.6735 5.9547 0.0000
Th 2.0396 0.0000 2.5245
Th 1.8368 -3.9378 2.5245
Th 5.3075 0.0000 2.5245
Th 3.6735 -5.9547 0.0000
Co 3.6735 5.9617 2.5245
Co 3.6735 -5.9617 2.5245
Bi 3.6735 2.1723 0.0000
Bi 3.6735 -2.1723 0.0000
```



[8]
Computed XRD peak list of Th5CoBi3 for Cu Ka, from a structure optimized by DFT (GGA-PBE).

Top 8 peaks for 5° ≤ 2θ ≤ 70°, in order of falling intensity:
2theta	Rel. int.
31.48	1000
33.07	746
32.17	418
50.86	270
28.29	240
46.81	206
62.44	193
27.23	133

Crystal structure
```
18
Lattice="9.6379 0.0000 0.0000 -4.8190 8.3467 0.0000 0.0000 0.0000 6.5504" Properties=species:S:1:pos:R:3 pbc="T T T"
Th -1.1373 1.9698 1.6376
Th -3.6817 6.3769 4.9128
Th 2.2745 0.0000 1.6376
Th 1.1373 1.9698 4.9128
Th 0.0000 5.5645 0.0000
Th 0.0000 5.5645 3.2752
Th 4.8190 2.7822 0.0000
Th 4.8190 2.7822 3.2752
Th 7.3634 0.0000 4.9128
Th 3.6817 6.3769 1.6376
Co 0.0000 0.0000 0.0000
Co 0.0000 0.0000 3.2752
Bi -1.9050 3.2995 4.9128
Bi -2.9140 5.0471 1.6376
Bi 3.8100 0.0000 4.9128
Bi 1.9050 3.2995 1.6376
Bi 5.8279 0.0000 1.6376
Bi 2.9140 5.0471 4.9128
```



[9]
Computed XRD peak list of Th5Co2Bi2 for Cu Ka, from a structure optimized by DFT (GGA-PBE).

Top 8 peaks for 5° ≤ 2θ ≤ 70°, in order of falling intensity:
2theta	Rel. int.
34.80	1000
28.23	990
31.38	658
31.81	586
34.97	521
27.91	458
50.16	420
8.61	410

Crystal structure
```
18
Lattice="-3.3639 10.2642 4.0124 3.3639 -10.2642 4.0124 3.3639 10.2642 -4.0124" Properties=species:S:1:pos:R:3 pbc="T T T"
Th 3.3639 5.1321 -0.9935
Th 0.0000 2.8600 0.4386
Th 1.6820 10.0344 -2.0062
Th 1.6820 -0.2299 2.0062
Th 0.0000 7.4043 0.4386
Th 3.3639 2.8600 3.5737
Th -1.6820 10.4941 2.0062
Th 1.6820 10.4941 2.0062
Th 3.3639 7.4043 3.5737
Th 0.0000 5.1321 5.0059
Co 0.0000 0.0000 0.0000
Co 3.3639 -5.1321 3.5351
Co 0.0000 10.2642 0.0000
Co 0.0000 15.3964 0.4772
Bi 3.3639 2.1853 0.2972
Bi 3.3639 8.0790 0.2972
Bi 0.0000 2.1853 3.7151
Bi 0.0000 8.0790 3.7151
```



[10]
Computed XRD peak list of Ti4CoBi2 for Cu Ka, from a structure optimized by DFT (GGA-PBE).

Top 8 peaks for 5° ≤ 2θ ≤ 70°, in order of falling intensity:
2theta	Rel. int.
26.25	1000
35.71	594
26.63	334
50.04	285
50.97	272
39.68	268
33.87	233
36.92	217

Crystal structure
```
14
Lattice="-5.2932 5.2932 2.4347 5.2932 -5.2932 2.4347 5.2932 5.2932 -2.4347" Properties=species:S:1:pos:R:3 pbc="T T T"
Ti 8.5422 0.8510 0.0000
Ti 0.8510 2.0442 0.0000
Ti 6.1442 3.2490 0.0000
Ti 3.2490 4.4422 0.0000
Ti 2.0442 0.8510 2.4347
Ti -0.8510 2.0442 2.4347
Ti 4.4422 3.2490 2.4347
Ti -3.2490 4.4422 2.4347
Co 0.0000 0.0000 1.2173
Co 0.0000 0.0000 3.6520
Bi 3.8201 1.4732 0.0000
Bi 3.8201 -1.4732 2.4347
Bi 1.4732 6.7664 0.0000
Bi 1.4732 3.8201 2.4347
```



[11]
Computed XRD peak list of Tm4Co2Bi for Cu Ka, from a structure optimized by DFT (GGA-PBE).

Top 8 peaks for 5° ≤ 2θ ≤ 70°, in order of falling intensity:
2theta	Rel. int.
37.32	1000
27.95	913
31.24	791
31.37	679
49.37	405
47.23	369
37.27	339
40.02	295

Crystal structure
```
14
Lattice="-4.5026 4.5102 4.5291 4.5026 -4.5102 4.5291 4.5026 4.5102 -4.5291" Properties=species:S:1:pos:R:3 pbc="T T T"
Tm 2.8926 -2.2677 2.4974
Tm 6.1126 -2.2425 2.4974
Tm 6.1126 2.2425 2.0317
Tm 2.8926 2.2677 2.0317
Tm 0.0187 0.6405 4.2953
Tm -0.0187 5.1507 0.2338
Tm -0.0187 3.8697 4.2953
Tm 0.0187 8.3799 0.2338
Co 4.4893 0.0000 2.2646
Co 2.2513 6.7496 0.0000
Co 0.0133 0.0000 6.7937
Co 2.2513 2.2708 4.5291
Bi 4.5026 2.2551 -1.1267
Bi 0.0000 2.2551 1.1267
```



[12]
Computed XRD peak list of Tm5CoBi for Cu Ka, from a structure optimized by DFT (GGA-PBE).

Top 8 peaks for 5° ≤ 2θ ≤ 70°, in order of falling intensity:
2theta	Rel. int.
30.76	1000
32.12	487
33.52	375
26.43	337
29.21	292
21.83	266
39.44	208
53.92	201

Crystal structure
```
14
Lattice="5.8703 -4.2342 0.0000 5.8703 4.2342 0.0000 -2.9547 0.0000 8.8357" Properties=species:S:1:pos:R:3 pbc="T T T"
Tm 3.6543 3.4265 6.6268
Tm 0.6150 0.9512 5.6946
Tm 4.6806 1.9544 0.2494
Tm 2.0924 -0.9512 1.2767
Tm 5.5827 1.9544 4.1685
Tm 3.2032 -1.9544 4.6672
Tm 6.6936 0.9512 7.5590
Tm 4.1054 -1.9544 8.5863
Tm 8.1709 -0.9512 3.1411
Tm 5.1317 -3.4265 2.2089
Co 0.0000 0.0000 0.0000
Co -1.4773 0.0000 4.4179
Bi 3.6543 0.3929 6.6268
Bi 5.1317 -0.3929 2.2089
```